# 1
CsTe5I7: theoretical powder diffraction line list (Cu Ka), based on the PBE geometry in Alexandria.

Principal peaks in the range 2θ from 10° to 90°, by angle:
Position (°2θ), I_rel
14.3, 12
18.8, 100
19.2, 11
19.9, 16
20.5, 12
24.1, 18
27.7, 15
28.8, 22
29.8, 11
33.4, 17
34.0, 15
43.2, 12

Structural model:
Lattice parameters (Å, degrees): 5.7422 9.9857 13.4473 72.87 85.55 81.74
Fractional coordinates of all 13 atoms:
Cs (0.0000, 0.0000, 0.0000)
Te (0.0295, 0.6371, 0.4307)
Te (0.1605, 0.3941, 0.8328)
Te (0.3646, 0.4953, 0.9768)
Te (0.5279, 0.5687, 0.5029)
Te (0.8345, 0.5816, 0.9172)
I (0.1007, 0.4134, 0.3485)
I (0.1929, 0.1264, 0.2419)
I (0.3788, 0.0637, 0.7104)
I (0.4622, 0.7848, 0.5932)
I (0.5477, 0.7407, 0.0820)
I (0.7027, 0.0657, 0.2697)
I (0.8658, 0.1283, 0.6926)

=====

# 2
CsTeI6: theoretical powder diffraction line list (Cu Ka), based on the PBE geometry in Alexandria.

Principal peaks in the range 2θ from 10° to 90°, by angle:
Position (°2θ), I_rel
14.9, 31
18.9, 45
20.6, 32
23.9, 67
24.5, 75
27.7, 55
28.2, 100
28.8, 71
31.1, 85
38.3, 36
44.3, 44
45.9, 44

Structural model:
Lattice parameters (Å, degrees): 8.8975 12.1072 7.8831 90.00 109.38 90.00
Fractional coordinates of all 16 atoms:
Cs (0.0000, 0.0000, 0.0000)
Cs (0.5000, 0.5000, 0.0000)
Te (0.0000, 0.5000, 0.5000)
Te (0.5000, 0.0000, 0.5000)
I (0.1077, 0.3295, 0.7825)
I (0.1077, 0.6705, 0.7825)
I (0.1763, 0.0000, 0.5533)
I (0.3237, 0.5000, 0.4467)
I (0.3923, 0.1705, 0.2175)
I (0.3923, 0.8295, 0.2175)
I (0.6077, 0.1705, 0.7825)
I (0.6077, 0.8295, 0.7825)
I (0.6763, 0.5000, 0.5533)
I (0.8237, 0.0000, 0.4467)
I (0.8923, 0.3295, 0.2175)
I (0.8923, 0.6705, 0.2175)

=====

# 3
Cs2Tl2TeI2: theoretical powder diffraction line list (Cu Ka), based on the PBE geometry in Alexandria.

Principal peaks in the range 2θ from 10° to 90°, by angle:
Position (°2θ), I_rel
24.0, 34
24.6, 100
26.7, 22
29.7, 14
31.8, 16
31.9, 15
34.8, 35
35.3, 13
37.2, 21
38.4, 16
41.0, 13
42.7, 14

Structural model:
Lattice parameters (Å, degrees): 14.9884 5.1603 10.2993 90.00 118.71 90.00
Fractional coordinates of all 14 atoms:
Cs (0.0549, 0.0000, 0.3125)
Cs (0.4451, 0.5000, 0.6875)
Cs (0.5549, 0.5000, 0.3125)
Cs (0.9451, 0.0000, 0.6875)
Tl (0.2216, 0.5000, 0.0848)
Tl (0.2784, 0.0000, 0.9152)
Tl (0.7216, 0.0000, 0.0848)
Tl (0.7784, 0.5000, 0.9152)
Te (0.0000, 0.5000, 0.0000)
Te (0.5000, 0.0000, 0.0000)
I (0.1720, 0.5000, 0.6557)
I (0.3280, 0.0000, 0.3443)
I (0.6720, 0.0000, 0.6557)
I (0.8280, 0.5000, 0.3443)

=====

# 4
Cs2ThTlI6: theoretical powder diffraction line list (Cu Ka), based on the PBE geometry in Alexandria.

Principal peaks in the range 2θ from 10° to 90°, by angle:
Position (°2θ), I_rel
11.6, 54
13.6, 17
18.9, 35
24.2, 32
26.2, 100
27.5, 14
29.0, 14
31.3, 24
36.5, 38
38.4, 59
47.1, 18
62.3, 15

Structural model:
Lattice parameters (Å, degrees): 15.3961 15.3961 15.3961 35.50 35.50 35.50
Fractional coordinates of all 20 atoms:
Cs (0.1277, 0.1277, 0.1277)
Cs (0.2742, 0.2742, 0.2742)
Cs (0.7258, 0.7258, 0.7258)
Cs (0.8723, 0.8723, 0.8723)
Th (0.0000, 0.0000, 0.0000)
Th (0.5000, 0.5000, 0.5000)
Tl (0.4206, 0.4206, 0.4206)
Tl (0.5794, 0.5794, 0.5794)
I (0.1153, 0.6411, 0.6411)
I (0.1946, 0.1946, 0.7379)
I (0.1946, 0.7379, 0.1946)
I (0.2621, 0.8054, 0.8054)
I (0.3589, 0.3589, 0.8847)
I (0.3589, 0.8847, 0.3589)
I (0.6411, 0.1153, 0.6411)
I (0.6411, 0.6411, 0.1153)
I (0.7379, 0.1946, 0.1946)
I (0.8054, 0.2621, 0.8054)
I (0.8054, 0.8054, 0.2621)
I (0.8847, 0.3589, 0.3589)

=====

# 5
Cs3TiI7: theoretical powder diffraction line list (Cu Ka), based on the PBE geometry in Alexandria.

Principal peaks in the range 2θ from 10° to 90°, by angle:
Position (°2θ), I_rel
13.2, 26
21.2, 31
23.4, 37
23.6, 35
24.0, 35
26.1, 36
26.4, 36
27.2, 100
27.8, 50
28.1, 55
30.2, 53
32.5, 27

Structural model:
Lattice parameters (Å, degrees): 7.7350 7.7350 10.0820 101.89 101.89 91.38
Fractional coordinates of all 11 atoms:
Cs (0.0000, 0.0000, 0.0000)
Cs (0.1880, 0.6485, 0.4446)
Cs (0.6485, 0.1880, 0.4446)
Ti (0.5165, 0.5165, 0.9309)
I (0.1245, 0.1245, 0.3968)
I (0.1753, 0.5323, 0.7980)
I (0.3975, 0.3975, 0.1426)
I (0.5191, 0.8650, 0.0775)
I (0.5323, 0.1753, 0.7980)
I (0.6401, 0.6401, 0.7162)
I (0.8650, 0.5191, 0.0775)

=====

# 6
Cs2TiI5: theoretical powder diffraction line list (Cu Ka), based on the PBE geometry in Alexandria.

Principal peaks in the range 2θ from 10° to 90°, by angle:
Position (°2θ), I_rel
13.0, 25
22.0, 13
24.0, 11
26.2, 100
28.5, 48
33.9, 14
37.6, 11
40.8, 15
44.8, 20
45.0, 11
49.1, 24
54.0, 12

Structural model:
Lattice parameters (Å, degrees): 8.1980 8.1979 8.8535 57.32 57.32 65.36
Fractional coordinates of all 8 atoms:
Cs (0.0000, 0.0000, 0.5000)
Cs (0.5000, 0.5000, 0.0000)
Ti (0.1931, 0.1931, 0.8069)
I (0.0311, 0.4682, 0.9689)
I (0.0370, 0.4712, 0.5288)
I (0.4682, 0.0311, 0.5318)
I (0.4712, 0.0370, 0.9630)
I (0.9470, 0.9470, 0.0530)

=====

# 7
CsTi3I12: theoretical powder diffraction line list (Cu Ka), based on the PBE geometry in Alexandria.

Principal peaks in the range 2θ from 10° to 90°, by angle:
Position (°2θ), I_rel
14.8, 37
16.4, 17
20.4, 21
22.4, 31
25.1, 30
25.5, 100
27.3, 21
27.9, 26
35.4, 17
40.7, 37
46.2, 27
49.9, 18

Structural model:
Lattice parameters (Å, degrees): 14.7695 14.7695 10.1316 90.00 90.00 120.00
Fractional coordinates of all 32 atoms:
Cs (0.3333, 0.6667, 0.2500)
Cs (0.6667, 0.3333, 0.7500)
Ti (0.0993, 0.7134, 0.7500)
Ti (0.2866, 0.3858, 0.7500)
Ti (0.3858, 0.0993, 0.2500)
Ti (0.6142, 0.9007, 0.7500)
Ti (0.7134, 0.6142, 0.2500)
Ti (0.9007, 0.2866, 0.2500)
I (0.0130, 0.4889, 0.2500)
I (0.0163, 0.2025, 0.2500)
I (0.1863, 0.9837, 0.2500)
I (0.2025, 0.1863, 0.7500)
I (0.2171, 0.7749, 0.5426)
I (0.2171, 0.7749, 0.9574)
I (0.2251, 0.4423, 0.5426)
I (0.2251, 0.4423, 0.9574)
I (0.4423, 0.2171, 0.0426)
I (0.4423, 0.2171, 0.4574)
I (0.4759, 0.9870, 0.2500)
I (0.4889, 0.4759, 0.7500)
I (0.5111, 0.5241, 0.2500)
I (0.5241, 0.0130, 0.7500)
I (0.5577, 0.7829, 0.5426)
I (0.5577, 0.7829, 0.9574)
I (0.7749, 0.5577, 0.0426)
I (0.7749, 0.5577, 0.4574)
I (0.7829, 0.2251, 0.0426)
I (0.7829, 0.2251, 0.4574)
I (0.7975, 0.8137, 0.2500)
I (0.8137, 0.0163, 0.7500)
I (0.9837, 0.7975, 0.7500)
I (0.9870, 0.5111, 0.7500)

=====

# 8
CsTiVI6: theoretical powder diffraction line list (Cu Ka), based on the PBE geometry in Alexandria.

Principal peaks in the range 2θ from 10° to 90°, by angle:
Position (°2θ), I_rel
10.2, 32
17.2, 40
26.1, 100
27.8, 14
30.8, 18
31.7, 74
38.5, 18
42.0, 14
42.3, 28
48.5, 23
52.5, 18
53.2, 15

Structural model:
Lattice parameters (Å, degrees): 7.4082 7.4082 8.7043 90.00 90.00 119.99
Fractional coordinates of all 9 atoms:
Cs (0.0000, 0.0000, 0.0000)
Ti (0.6667, 0.3333, 0.5000)
V (0.3334, 0.6666, 0.5000)
I (0.0007, 0.3754, 0.3152)
I (0.0009, 0.6256, 0.6849)
I (0.3744, 0.9991, 0.3151)
I (0.3757, 0.3765, 0.6856)
I (0.6235, 0.6243, 0.3144)
I (0.6246, 0.9993, 0.6848)

=====

Repeat the third record exactly.
Cs2Tl2TeI2: theoretical powder diffraction line list (Cu Ka), based on the PBE geometry in Alexandria.

Principal peaks in the range 2θ from 10° to 90°, by angle:
Position (°2θ), I_rel
24.0, 34
24.6, 100
26.7, 22
29.7, 14
31.8, 16
31.9, 15
34.8, 35
35.3, 13
37.2, 21
38.4, 16
41.0, 13
42.7, 14

Structural model:
Lattice parameters (Å, degrees): 14.9884 5.1603 10.2993 90.00 118.71 90.00
Fractional coordinates of all 14 atoms:
Cs (0.0549, 0.0000, 0.3125)
Cs (0.4451, 0.5000, 0.6875)
Cs (0.5549, 0.5000, 0.3125)
Cs (0.9451, 0.0000, 0.6875)
Tl (0.2216, 0.5000, 0.0848)
Tl (0.2784, 0.0000, 0.9152)
Tl (0.7216, 0.0000, 0.0848)
Tl (0.7784, 0.5000, 0.9152)
Te (0.0000, 0.5000, 0.0000)
Te (0.5000, 0.0000, 0.0000)
I (0.1720, 0.5000, 0.6557)
I (0.3280, 0.0000, 0.3443)
I (0.6720, 0.0000, 0.6557)
I (0.8280, 0.5000, 0.3443)